[1]
This entry pairs a crystal structure of Er2Be12Fe5 with its calculated X-ray powder pattern. Radiation: Cu Kα (λ = 1.5418 Å). Structure: a structure optimized by DFT (GGA-PBE).
Neutral-atom scattering factors, no anomalous dispersion.

Cell and atoms:
a b c (Å): 7.8926 7.8926 11.5076
angles (deg): 90.00 90.00 120.00
Space group R-3m (No. 166, hexagonal axes)
Symmetry-distinct sites (fractional):
Er: 0.0000 0.0000 0.1616 x6
Be: 0.0000 0.2778 0.5000 x18
Be: 0.0096 0.5048 0.3430 x18
Fe: 0.0000 0.0000 0.4032 x6
Fe: 0.0000 0.5000 0.0000 x9

The 10 most intense peaks (2θ from 10° to 80°), in order of rising 2θ:
d [Å]  I/Imax  h k l
4.402  23  0 1 2
3.946  100  1 1 0
3.276  30  0 2 1
2.751  78  1 1 3
2.652  31  1 0 4
2.278  29  3 0 0
1.973  49  2 2 0
1.959  36  3 0 3
1.922  26  2 1 4
1.376  21  2 2 6

***

[2]
This entry pairs a crystal structure of Er3Be2Fe7 with its calculated X-ray powder pattern. Radiation: Cu Kα (λ = 1.5418 Å). Structure: a structure optimized by DFT (GGA-PBE).
Neutral-atom scattering factors, no anomalous dispersion.

Cell and atoms:
a b c (Å): 5.0478 5.0478 23.1249
angles (deg): 90.00 90.00 120.00
Space group R-3m (No. 166, hexagonal axes)
Symmetry-distinct sites (fractional):
Er: 0.0000 0.0000 0.0000 x3
Er: 0.0000 0.0000 0.1408 x6
Be: 0.0000 0.0000 0.3332 x6
Fe: 0.0000 0.0000 0.5000 x3
Fe: 0.0001 0.5001 0.0769 x18

The 10 most intense peaks (2θ from 10° to 80°), in order of rising 2θ:
d [Å]  I/Imax  h k l
4.295  45  1 0 1
2.636  98  1 0 7
2.524  59  1 1 0
2.411  75  0 1 8
2.176  74  0 2 1
2.111  100  1 1 6
1.478  33  2 1 7
1.434  28  1 2 8
1.318  26  2 0 14
1.262  26  2 2 0

***

[3]
This entry pairs a crystal structure of ErBe2Ga2 with its calculated X-ray powder pattern. Radiation: Cu Kα (λ = 1.5418 Å). Structure: a structure optimized by DFT (GGA-PBE).
Neutral-atom scattering factors, no anomalous dispersion.

Cell and atoms:
a b c (Å): 3.920 3.920 9.818
angles (deg): 90.00 90.00 90.00
Space group P4/nmm (No. 129, origin choice 2)
Symmetry-distinct sites (fractional):
Er: 0.250 0.250 0.245 x2
Be: 0.250 0.250 0.640 x2
Be: 0.250 0.750 0.000 x2
Ga: 0.250 0.250 0.870 x2
Ga: 0.250 0.750 0.500 x2

The 10 most intense peaks (2θ from 10° to 80°), in order of rising 2θ:
d [Å]  I/Imax  h k l
3.640  53  1 0 1
2.772  32  1 1 0
2.667  30  1 1 1
2.512  82  1 0 3
2.414  100  1 1 2
1.960  46  2 0 0
1.756  32  1 0 5
1.545  37  2 1 3
1.308  24  2 1 5
1.202  22  3 1 2

***

[4]
This entry pairs a crystal structure of Er2BeGaIr2 with its calculated X-ray powder pattern. Radiation: Cu Kα (λ = 1.5418 Å). Structure: a structure optimized by DFT (GGA-PBE).
Neutral-atom scattering factors, no anomalous dispersion.

Cell and atoms:
a b c (Å): 5.678 13.533 5.666
angles (deg): 90.00 90.00 90.00
Space group Ibam (No. 72)
Symmetry-distinct sites (fractional):
Er: 0.233 0.172 0.000 x8
Be: 0.000 0.500 0.250 x4
Ga: 0.000 0.000 0.250 x4
Ir: 0.216 0.392 0.000 x8

The 10 most intense peaks (2θ from 10° to 80°), in order of rising 2θ:
d [Å]  I/Imax  h k l
3.383  33  0 4 0
2.836  100  0 0 2
2.586  87  1 4 1
2.173  74  0 4 2
2.005  56  2 0 2
1.966  25  1 6 1
1.725  17  2 4 2
1.585  36  1 4 3
1.559  23  1 8 1
1.231  19  1 8 3

***

[5]
This entry pairs a crystal structure of Er2BeGaPt6 with its calculated X-ray powder pattern. Radiation: Cu Kα (λ = 1.5418 Å). Structure: a structure optimized by DFT (GGA-PBE).
Neutral-atom scattering factors, no anomalous dispersion.

Cell and atoms:
a b c (Å): 9.751 5.634 7.376
angles (deg): 90.00 115.98 90.00
Space group C2/m (No. 12)
Symmetry-distinct sites (fractional):
Er: 0.209 0.000 0.127 x4
Be: 0.000 0.000 0.500 x2
Ga: 0.000 0.500 0.000 x2
Pt: 0.014 0.255 0.287 x8
Pt: 0.241 0.000 0.713 x4

The 10 most intense peaks (2θ from 10° to 80°), in order of rising 2θ:
d [Å]  I/Imax  h k l
3.315  42  0 0 2
3.083  20  2 0 1
2.592  21  3 1 0
2.455  19  2 0 -3
2.369  100  2 2 0
2.190  80  4 0 0
1.742  13  2 2 2
1.408  27  0 4 0
1.297  14  4 0 3
1.210  12  8 0 -2

***

[6]
This entry pairs a crystal structure of Er2Be3GaPt4 with its calculated X-ray powder pattern. Radiation: Cu Kα (λ = 1.5418 Å). Structure: a structure optimized by DFT (GGA-PBE).
Neutral-atom scattering factors, no anomalous dispersion.

Cell and atoms:
a b c (Å): 4.030 4.030 9.853
angles (deg): 90.00 90.00 90.00
Space group P-4m2 (No. 115)
Symmetry-distinct sites (fractional):
Er: 0.000 0.500 0.241 x2
Be: 0.000 0.500 0.881 x2
Be: 0.500 0.500 0.500 x1
Ga: 0.000 0.000 0.500 x1
Pt: 0.000 0.000 0.000 x1
Pt: 0.000 0.500 0.648 x2
Pt: 0.500 0.500 0.000 x1

The 10 most intense peaks (2θ from 10° to 80°), in order of rising 2θ:
d [Å]  I/Imax  h k l
3.284  22  0 0 3
3.119  34  1 0 2
2.737  39  1 1 1
2.546  28  1 0 3
2.466  100  1 1 2
2.015  45  2 0 0
1.770  22  1 0 5
1.425  15  2 2 0
1.330  17  2 1 5
1.234  24  3 1 2

***

[7]
This entry pairs a crystal structure of ErBe3Ge3 with its calculated X-ray powder pattern. Radiation: Cu Kα (λ = 1.5418 Å). Structure: a structure optimized by DFT (GGA-PBE).
Neutral-atom scattering factors, no anomalous dispersion.

Cell and atoms:
a b c (Å): 6.241 6.241 6.241
angles (deg): 90.00 90.00 90.00
Space group Pm-3n (No. 223)
Symmetry-distinct sites (fractional):
Er: 0.000 0.000 0.000 x2
Be: 0.000 0.250 0.500 x6
Ge: 0.000 0.500 0.250 x6

The 10 most intense peaks (2θ from 10° to 80°), in order of rising 2θ:
d [Å]  I/Imax  h k l
4.413  22  1 1 0
3.121  43  2 0 0
2.791  41  2 1 0
2.548  100  2 1 1
1.731  10  3 2 0
1.668  55  3 2 1
1.560  15  4 0 0
1.396  15  4 2 0
1.362  9  4 2 1
1.331  13  3 3 2